For Fe4O7F, a crystal structure in the Materials Project, relaxed with GGA+U gives the computed powder X-ray diffraction pattern in this record (Cu Kα, 1.54184 Å).
Neutral-atom scattering factors, no anomalous dispersion.

Peak list (12 most intense, 10 to 90 degrees two-theta, by intensity)
hkl 2 0 -2, d = 3.327 Å, 2θ = 26.80°, I 100
hkl 0 2 0, d = 3.215 Å, 2θ = 27.75°, I 97
hkl 5 3 -1, d = 1.687 Å, 2θ = 54.39°, I 56
hkl 3 1 1, d = 2.521 Å, 2θ = 35.61°, I 52
hkl 5 1 -1, d = 2.512 Å, 2θ = 35.74°, I 51
hkl 1 1 3, d = 1.723 Å, 2θ = 53.17°, I 29
hkl 7 1 -3, d = 1.714 Å, 2θ = 53.45°, I 29
hkl 7 3 -3, d = 1.369 Å, 2θ = 68.54°, I 25
hkl 2 2 -2, d = 2.312 Å, 2θ = 38.96°, I 21
hkl 1 3 3, d = 1.373 Å, 2θ = 68.32°, I 20
hkl 4 0 -4, d = 1.663 Å, 2θ = 55.23°, I 16
hkl 0 4 0, d = 1.607 Å, 2θ = 57.32°, I 16

Structure:
a = 13.6890 Å, b = 6.4292 Å, c = 6.6533 Å
α = 90.00°, β = 118.77°, γ = 90.00°
Space group C2/m (No. 12)
Asymmetric unit:
1 Fe 0.0000 0.0000 0.0000 x2
2 Fe 0.0000 0.5000 0.5000 x2
3 Fe 0.1243 0.0000 0.6224 x4
4 Fe 0.1252 0.5000 0.1007 x4
5 Fe 0.2438 0.0000 0.2367 x4
6 O 0.0000 0.1973 0.5000 x4
7 O 0.0000 0.3123 0.0000 x4
8 O 0.1177 0.0000 0.9232 x4
9 O 0.1222 0.0000 0.3115 x4
10 O 0.1251 0.5000 0.8046 x4
11 O 0.2494 0.3075 0.2459 x8
12 F 0.1282 0.5000 0.4242 x4